# 1
Starting from a PBE-relaxed structure, the powder XRD pattern of Ga3P was calculated for CuKα.
Kinematic intensities with the Lorentz-polarization factor, no thermal factor.

```
Ga3P
1.0
4.235 0.000 0.000
0.000 4.235 0.000
0.000 0.000 4.235
Ga P
3 1
direct
0.000 0.000 0.500 Ga
0.000 0.500 0.000 Ga
0.500 0.000 0.000 Ga
0.500 0.500 0.500 P
```

Peak list (10 most intense, 10° ≤ 2θ ≤ 90°, low angle first)
Position (°2θ)  d [Å]  Rel. int.  index
21.0  4.235  8  1 0 0
29.8  2.995  7  1 1 0
36.8  2.445  100  1 1 1
42.7  2.118  49  2 0 0
48.0  1.894  4  2 1 0
53.0  1.729  3  2 1 1
62.0  1.497  31  2 2 0
66.2  1.412  2  3 0 0
74.3  1.277  36  3 1 1
78.2  1.223  10  2 2 2


# 2
Starting from a PBE-relaxed structure, the powder XRD pattern of GaPPd5 was calculated for CuKα.
Kinematic intensities with the Lorentz-polarization factor, no thermal factor.

```
GaPPd5
1.0
3.935 0.000 0.000
0.000 3.935 0.000
0.000 0.000 6.876
Ga P Pd
1 1 5
direct
0.000 0.000 0.000 Ga
0.500 0.500 0.500 P
0.000 0.500 0.292 Pd
0.000 0.500 0.708 Pd
0.500 0.000 0.292 Pd
0.500 0.000 0.708 Pd
0.500 0.500 0.000 Pd
```

Peak list (10 most intense, 10° ≤ 2θ ≤ 90°, low angle first)
Position (°2θ)  d [Å]  Rel. int.  index
32.2  2.783  15  1 1 0
34.8  2.579  34  1 1 1
39.3  2.292  18  0 0 3
41.8  2.163  100  1 1 2
46.1  1.968  45  2 0 0
62.2  1.493  18  2 0 3
67.3  1.391  14  2 2 0
73.1  1.295  10  2 0 4
77.4  1.233  15  1 1 5
82.4  1.170  27  3 1 2


# 3
Starting from a PBE-relaxed structure, the powder XRD pattern of ZnGaPS was calculated for CuKα.
Kinematic intensities with the Lorentz-polarization factor, no thermal factor.

```
ZnGaPS
1.0
3.878 0.000 0.000
-1.939 3.358 0.000
0.000 0.000 19.012
Zn Ga P S
3 3 3 3
direct
0.000 0.000 0.000 Zn
0.333 0.667 0.667 Zn
0.667 0.333 0.333 Zn
0.000 0.000 0.503 Ga
0.333 0.667 0.169 Ga
0.667 0.333 0.836 Ga
0.000 0.000 0.876 P
0.333 0.667 0.542 P
0.667 0.333 0.209 P
0.000 0.000 0.378 S
0.333 0.667 0.044 S
0.667 0.333 0.711 S
```

Peak list (9 most intense, 10° ≤ 2θ ≤ 90°, low angle first)
Position (°2θ)  d [Å]  Rel. int.  index
28.2  3.167  100  0 1 2
32.6  2.743  13  1 0 4
46.8  1.939  61  1 1 0
55.6  1.654  42  1 0 10
58.3  1.584  3  0 2 4
68.4  1.371  9  2 0 8
75.6  1.258  16  0 2 10
77.9  1.227  4  2 1 4
87.0  1.120  19  3 0 0